Record 1
This entry pairs a crystal structure of TbPmPr14 with its calculated X-ray diffraction stick pattern. Radiation: copper Kα. Structure: DFT lattice parameters and positions (GGA-PBE).
Neutral-atom scattering factors, no anomalous dispersion.

Crystal structure
a b c (Å): 7.3938 7.3938 10.4810
angles (deg): 90.00 90.00 90.00
Atoms (fractional coordinates):
Tb  0.0000  0.0000  0.0000
Pm  0.5000  0.5000  0.0000
Pr  0.0000  0.0000  0.5000
Pr  0.0000  0.5000  0.0000
Pr  0.0000  0.5000  0.5000
Pr  0.2494  0.2494  0.2482
Pr  0.2494  0.2494  0.7518
Pr  0.2494  0.7506  0.2482
Pr  0.2494  0.7506  0.7518
Pr  0.5000  0.0000  0.0000
Pr  0.5000  0.0000  0.5000
Pr  0.5000  0.5000  0.5000
Pr  0.7506  0.2494  0.2482
Pr  0.7506  0.2494  0.7518
Pr  0.7506  0.7506  0.2482
Pr  0.7506  0.7506  0.7518

Largest 10 diffraction maxima, in order of rising 2θ, 10 to 90 degrees two-theta:
two_theta	d [Å]	I/Imax
29.57	3.021	100
34.28	2.616	51
49.26	1.850	36
58.43	1.579	15
58.54	1.577	29
61.38	1.510	13
72.29	1.307	4
79.92	1.200	18
82.33	1.171	5
82.49	1.169	11

***

Record 2
This entry pairs a crystal structure of Tb5Pm4Pr with its calculated X-ray diffraction stick pattern. Radiation: copper Kα. Structure: DFT lattice parameters and positions (GGA-PBE).
Neutral-atom scattering factors, no anomalous dispersion.

Crystal structure
a b c (Å): 13.0161 13.0161 7.2193
angles (deg): 97.98 97.98 15.97
Atoms (fractional coordinates):
Tb  0.0000  0.0000  0.0000
Tb  0.2013  0.2013  0.1003
Tb  0.2012  0.2012  0.6009
Tb  0.7988  0.7988  0.3991
Tb  0.7987  0.7987  0.8997
Pm  0.3984  0.3984  0.7010
Pm  0.3985  0.3985  0.1973
Pm  0.6015  0.6015  0.8027
Pm  0.6016  0.6016  0.2990
Pr  0.0000  0.0000  0.5000

Largest 10 diffraction maxima, in order of rising 2θ, 10 to 90 degrees two-theta:
two_theta	d [Å]	I/Imax
30.31	2.949	100
35.14	2.554	51
50.53	1.806	30
50.57	1.805	6
60.07	1.540	43
63.04	1.475	12
74.27	1.277	6
82.29	1.172	15
84.83	1.143	6
84.93	1.142	11

***

Record 3
This entry pairs a crystal structure of Tb4PmPr4 with its calculated X-ray diffraction stick pattern. Radiation: copper Kα. Structure: DFT lattice parameters and positions (GGA-PBE).
Neutral-atom scattering factors, no anomalous dispersion.

Crystal structure
a b c (Å): 6.2937 6.2937 10.9324
angles (deg): 106.72 106.72 48.34
Atoms (fractional coordinates):
Tb  0.1665  0.1665  0.0540
Tb  0.1692  0.1692  0.7256
Tb  0.8308  0.8308  0.2744
Tb  0.8335  0.8335  0.9460
Pm  0.5000  0.5000  0.5000
Pr  0.1663  0.1663  0.3879
Pr  0.4983  0.4983  0.1657
Pr  0.5017  0.5017  0.8343
Pr  0.8337  0.8337  0.6121

Largest 10 diffraction maxima, in order of rising 2θ, 10 to 90 degrees two-theta:
two_theta	d [Å]	I/Imax
30.06	2.972	100
34.82	2.576	34
34.91	2.570	17
50.09	1.821	30
59.49	1.554	22
59.58	1.552	14
59.69	1.549	7
62.42	1.488	6
81.42	1.182	12
84.00	1.152	10